1.
Theoretical PXRD pattern of CoSiMoPt for Cu Kα, 1.54184 Å, from a PBE-relaxed structure.
No peak broadening, texture or thermal motion is included.

Principal peaks in the range 15° ≤ 2θ ≤ 90°, low angle first:
2theta	Rel. int.
25.61	48
29.65	3
42.43	100
50.21	24
52.61	1
61.56	16
67.79	10
69.80	2
77.62	33
83.33	8

```
data_CoSiMoPt
_cell_length_a 4.261
_cell_length_b 4.261
_cell_length_c 4.261
_cell_angle_alpha 60.00
_cell_angle_beta 60.00
_cell_angle_gamma 60.00
_symmetry_space_group_name_H-M 'P 1'
_symmetry_Int_Tables_number 1
loop_
_symmetry_equiv_pos_as_xyz
'x,y,z'
loop_
_atom_site_label
_atom_site_type_symbol
_atom_site_fract_x
_atom_site_fract_y
_atom_site_fract_z
Co1 Co 0.000 0.000 0.000
Si1 Si 0.750 0.750 0.750
Mo1 Mo 0.500 0.500 0.500
Pt1 Pt 0.250 0.250 0.250
```



2.
Theoretical PXRD pattern of CoMo2S4 for Cu Kα, 1.54184 Å, from a PBE-relaxed structure.
No peak broadening, texture or thermal motion is included.

Principal peaks in the range 15° ≤ 2θ ≤ 90°, low angle first:
2theta	Rel. int.
15.83	62
17.42	46
30.25	22
31.76	54
35.23	100
42.78	24
43.06	22
44.94	41
46.43	68
47.40	41
54.69	28
57.50	22

```
data_CoMo2S4
_cell_length_a 6.733
_cell_length_b 6.733
_cell_length_c 12.343
_cell_angle_alpha 111.73
_cell_angle_beta 111.73
_cell_angle_gamma 56.86
_symmetry_space_group_name_H-M 'P 1'
_symmetry_Int_Tables_number 1
loop_
_symmetry_equiv_pos_as_xyz
'x,y,z'
loop_
_atom_site_label
_atom_site_type_symbol
_atom_site_fract_x
_atom_site_fract_y
_atom_site_fract_z
Co1 Co 0.124 0.876 0.500
Co2 Co 0.380 0.629 0.000
Co3 Co 0.629 0.380 0.500
Co4 Co 0.876 0.124 0.000
Mo1 Mo 0.043 0.275 0.261
Mo2 Mo 0.226 0.465 0.740
Mo3 Mo 0.275 0.043 0.761
Mo4 Mo 0.465 0.226 0.240
Mo5 Mo 0.531 0.794 0.262
Mo6 Mo 0.709 0.975 0.739
Mo7 Mo 0.794 0.531 0.762
Mo8 Mo 0.975 0.709 0.239
S1 S 0.091 0.336 0.097
S2 S 0.117 0.860 0.131
S3 S 0.136 0.889 0.867
S4 S 0.166 0.416 0.905
S5 S 0.336 0.091 0.597
S6 S 0.367 0.616 0.634
S7 S 0.389 0.643 0.370
S8 S 0.416 0.166 0.405
S9 S 0.595 0.844 0.100
S10 S 0.616 0.367 0.134
S11 S 0.643 0.389 0.870
S12 S 0.657 0.912 0.901
S13 S 0.844 0.595 0.600
S14 S 0.860 0.117 0.631
S15 S 0.889 0.136 0.367
S16 S 0.912 0.657 0.401
```



3.
Theoretical PXRD pattern of Co2Si3Mo2 for Cu Kα, 1.54184 Å, from a PBE-relaxed structure.
No peak broadening, texture or thermal motion is included.

Principal peaks in the range 15° ≤ 2θ ≤ 90°, low angle first:
2theta	Rel. int.
26.95	15
31.28	90
41.12	5
44.67	100
44.99	92
55.54	17
65.26	29
73.92	14
74.39	11
82.33	16
82.55	30
83.23	12

```
data_Co2Si3Mo2
_cell_length_a 6.965
_cell_length_b 6.965
_cell_length_c 6.965
_cell_angle_alpha 33.87
_cell_angle_beta 33.87
_cell_angle_gamma 33.87
_symmetry_space_group_name_H-M 'P 1'
_symmetry_Int_Tables_number 1
loop_
_symmetry_equiv_pos_as_xyz
'x,y,z'
loop_
_atom_site_label
_atom_site_type_symbol
_atom_site_fract_x
_atom_site_fract_y
_atom_site_fract_z
Co1 Co 0.000 0.000 0.000
Co2 Co 0.494 0.494 0.494
Si1 Si 0.127 0.127 0.127
Si2 Si 0.374 0.374 0.374
Si3 Si 0.876 0.876 0.876
Mo1 Mo 0.255 0.255 0.255
Mo2 Mo 0.742 0.742 0.742
```



What is the formula in the third record?
Co2Si3Mo2